# 1
DyY14Mg: computed powder XRD pattern (Cu Kα (λ = 1.5418 Å)), based on a cell relaxed with GGA-PBE.

The 8 most intense peaks (2θ from 10° to 80°), by angle:
two_theta, d_spacing, I/Imax
30.92, 2.892, 17
31.41, 2.848, 100
32.17, 2.782, 48
33.55, 2.671, 7
43.87, 2.064, 8
46.13, 1.968, 14
55.43, 1.658, 13
56.88, 1.619, 25

Cell: 11.1268 6.9303 6.9303 Å, 73.11 90.00 90.00°
Fractional coordinates of all 16 atoms:
Dy1 0.0000 0.0000 0.0000
Y1 0.0000 0.5120 0.9622
Y2 0.0000 0.9622 0.5120
Y3 0.2408 0.2984 0.7205
Y4 0.2408 0.7205 0.2984
Y5 0.2527 0.7894 0.7894
Y6 0.2546 0.2305 0.2305
Y7 0.5000 0.4401 0.4401
Y8 0.5000 0.5046 0.9260
Y9 0.5000 0.9260 0.5046
Y10 0.5000 0.9938 0.9938
Y11 0.7454 0.2305 0.2305
Y12 0.7473 0.7894 0.7894
Y13 0.7592 0.2984 0.7205
Y14 0.7592 0.7205 0.2984
Mg1 0.0000 0.4698 0.4698


# 2
Dy2YMg4: computed powder XRD pattern (Cu Kα (λ = 1.5418 Å)), based on a cell relaxed with GGA-PBE.

The 8 most intense peaks (2θ from 10° to 80°), by angle:
two_theta, d_spacing, I/Imax
12.23, 7.238, 51
23.42, 3.798, 47
24.60, 3.619, 21
26.50, 3.363, 42
33.37, 2.685, 54
34.23, 2.620, 100
41.89, 2.157, 21
60.19, 1.538, 39

Cell: 8.1738 8.1738 8.1738 Å, 141.64 141.64 55.37°
Fractional coordinates of all 7 atoms:
Dy1 0.2494 0.2494 0.0000
Dy2 0.7506 0.7506 0.0000
Y1 0.5000 0.5000 0.0000
Mg1 0.1178 0.6178 0.5000
Mg2 0.3822 0.8822 0.5000
Mg3 0.6178 0.1178 0.5000
Mg4 0.8822 0.3822 0.5000


# 3
Dy3Y7Mg: computed powder XRD pattern (Cu Kα (λ = 1.5418 Å)), based on a cell relaxed with GGA-PBE.

The 8 most intense peaks (2θ from 10° to 80°), by angle:
two_theta, d_spacing, I/Imax
25.12, 3.545, 11
31.10, 2.876, 13
32.26, 2.775, 100
32.65, 2.743, 29
33.35, 2.687, 40
46.54, 1.952, 17
57.51, 1.603, 13
59.39, 1.556, 15

Cell: 9.8223 9.8223 11.1088 Å, 90.00 90.00 40.69°
Fractional coordinates of all 22 atoms:
Dy1 0.0003 0.9997 0.0000
Dy2 0.9997 0.0003 0.5000
Dy3 0.2294 0.2484 0.2512
Dy4 0.2484 0.2294 0.7512
Dy5 0.7516 0.7706 0.2512
Dy6 0.7706 0.7516 0.7512
Y1 0.0970 0.5835 0.0348
Y2 0.0990 0.5829 0.4663
Y3 0.2001 0.6259 0.7506
Y4 0.2296 0.7704 0.2501
Y5 0.3741 0.7999 0.7506
Y6 0.4165 0.9030 0.0348
Y7 0.4171 0.9010 0.4663
Y8 0.5829 0.0990 0.9663
Y9 0.5835 0.0970 0.5348
Y10 0.6259 0.2001 0.2506
Y11 0.7704 0.2296 0.7501
Y12 0.7999 0.3741 0.2506
Y13 0.9010 0.4171 0.9663
Y14 0.9030 0.4165 0.5348
Mg1 0.4997 0.5003 0.0005
Mg2 0.5003 0.4997 0.5005


# 4
Dy4Y15Mg: computed powder XRD pattern (Cu Kα (λ = 1.5418 Å)), based on a cell relaxed with GGA-PBE.

The 8 most intense peaks (2θ from 10° to 80°), by angle:
two_theta, d_spacing, I/Imax
30.80, 2.903, 100
35.63, 2.520, 17
35.76, 2.511, 33
51.41, 1.778, 35
61.03, 1.518, 13
61.19, 1.515, 27
64.17, 1.451, 12
75.76, 1.255, 4

Cell: 5.0219 5.0219 25.1950 Å, 90.00 90.00 90.00°
Fractional coordinates of all 20 atoms:
Dy1 0.0000 0.0000 0.1008
Dy2 0.0000 0.0000 0.3017
Dy3 0.0000 0.0000 0.6983
Dy4 0.0000 0.0000 0.8992
Y1 0.0000 0.5000 0.0000
Y2 0.0000 0.5000 0.2013
Y3 0.0000 0.5000 0.4019
Y4 0.0000 0.5000 0.5981
Y5 0.0000 0.5000 0.7987
Y6 0.5000 0.0000 0.0000
Y7 0.5000 0.0000 0.2013
Y8 0.5000 0.0000 0.4019
Y9 0.5000 0.0000 0.5981
Y10 0.5000 0.0000 0.7987
Y11 0.5000 0.5000 0.1009
Y12 0.5000 0.5000 0.3036
Y13 0.5000 0.5000 0.5000
Y14 0.5000 0.5000 0.6964
Y15 0.5000 0.5000 0.8991
Mg1 0.0000 0.0000 0.5000


# 5
Dy12Y7Mg: computed powder XRD pattern (Cu Kα (λ = 1.5418 Å)), based on a cell relaxed with GGA-PBE.

The 8 most intense peaks (2θ from 10° to 80°), by angle:
two_theta, d_spacing, I/Imax
10.40, 8.505, 100
18.06, 4.911, 35
27.75, 3.215, 51
29.71, 3.007, 33
33.31, 2.690, 82
36.60, 2.455, 67
38.15, 2.359, 33
57.32, 1.607, 39

Cell: 10.4169 10.4169 10.4169 Å, 109.47 109.47 109.47°
Fractional coordinates of all 20 atoms:
Dy1 0.0964 0.7377 0.3587
Dy2 0.2623 0.3587 0.6210
Dy3 0.2623 0.6413 0.9036
Dy4 0.3587 0.0964 0.7377
Dy5 0.3587 0.6210 0.2623
Dy6 0.3790 0.7377 0.6413
Dy7 0.6210 0.2623 0.3587
Dy8 0.6413 0.3790 0.7377
Dy9 0.6413 0.9036 0.2623
Dy10 0.7377 0.3587 0.0964
Dy11 0.7377 0.6413 0.3790
Dy12 0.9036 0.2623 0.6413
Y1 0.0000 0.0000 0.5000
Y2 0.0000 0.5000 0.0000
Y3 0.0000 0.5000 0.5000
Y4 0.5000 0.0000 0.0000
Y5 0.5000 0.0000 0.5000
Y6 0.5000 0.5000 0.0000
Y7 0.5000 0.5000 0.5000
Mg1 0.0000 0.0000 0.0000


# 6
Dy4YMg7: computed powder XRD pattern (Cu Kα (λ = 1.5418 Å)), based on a cell relaxed with GGA-PBE.

The 8 most intense peaks (2θ from 10° to 80°), by angle:
two_theta, d_spacing, I/Imax
19.35, 4.587, 18
20.49, 4.334, 81
28.07, 3.179, 44
33.40, 2.683, 100
33.85, 2.648, 97
48.29, 1.885, 35
59.41, 1.556, 17
60.27, 1.536, 36

Cell: 5.2964 5.2964 13.2302 Å, 90.00 90.00 120.00°
Fractional coordinates of all 12 atoms:
Dy1 0.3333 0.6667 0.1625
Dy2 0.3333 0.6667 0.4214
Dy3 0.6667 0.3333 0.5786
Dy4 0.6667 0.3333 0.8375
Y1 0.0000 0.0000 0.0000
Mg1 0.0000 0.0000 0.2621
Mg2 0.0000 0.0000 0.5000
Mg3 0.0000 0.0000 0.7379
Mg4 0.3333 0.6667 0.6819
Mg5 0.3333 0.6667 0.9175
Mg6 0.6667 0.3333 0.0825
Mg7 0.6667 0.3333 0.3181